Record 1
Computed XRD peak list of Te2MoW2Se2S2 for Cu Ka, from a structure optimized by DFT (PBE).
Lines closer than 0.1° are merged.

Crystal structure
```
data_Te2MoW2Se2S2
_chemical_formula_sum 'Te2 Mo1 W2 Se2 S2'
_space_group_name_H-M_alt 'P 3 m 1'
_space_group_IT_number 156
_space_group_name_Hall 'P 3 -2"'
_cell_length_a 3.3451
_cell_length_b 3.3451
_cell_length_c 30.9761
_cell_angle_alpha 90.00
_cell_angle_beta 90.00
_cell_angle_gamma 120.00
loop_
_atom_site_label
_atom_site_type_symbol
_atom_site_fract_x
_atom_site_fract_y
_atom_site_fract_z
_atom_site_occupancy
Te1 Te 0.0000 0.0000 0.0000 1
Te2 Te 0.0000 0.0000 0.1223 1
Mo1 Mo 0.6667 0.3333 0.0611 1
W1 W 0.0000 0.0000 0.2925 1
W2 W 0.6667 0.3333 0.5238 1
Se1 Se 0.0000 0.0000 0.4698 1
Se2 Se 0.0000 0.0000 0.5778 1
S1 S 0.6667 0.3333 0.2434 1
S2 S 0.6667 0.3333 0.3416 1
```

Main lines, in order of rising 2θ (10 to 90 degrees two-theta):
- 11.43 deg, intensity 100
- 30.87 deg, intensity 32
- 35.53 deg, intensity 45
- 37.09 deg, intensity 51
- 44.89 deg, intensity 36
- 54.91 deg, intensity 25

***

Record 2
Computed XRD peak list of KLaF4 for Cu Ka, from a structure optimized by DFT (PBE).
Lines closer than 0.1° are merged.

Crystal structure
```
data_KLaF4
_chemical_formula_sum 'K1 La1 F4'
_space_group_name_H-M_alt 'P 4/m m m'
_space_group_IT_number 123
_space_group_name_Hall '-P 4 2'
_cell_length_a 4.117
_cell_length_b 4.117
_cell_length_c 6.260
_cell_angle_alpha 90.00
_cell_angle_beta 90.00
_cell_angle_gamma 90.00
loop_
_atom_site_label
_atom_site_type_symbol
_atom_site_fract_x
_atom_site_fract_y
_atom_site_fract_z
_atom_site_occupancy
K1 K 0.000 0.000 0.000 1
La1 La 0.500 0.500 0.500 1
F1 F 0.000 0.500 0.286 1
```

Main lines, in order of rising 2θ (10 to 90 degrees two-theta):
- 14.15 deg, intensity 41
- 21.58 deg, intensity 22
- 25.90 deg, intensity 100
- 42.40 deg, intensity 50
- 43.99 deg, intensity 24
- 51.75 deg, intensity 28